Theoretical powder X-ray diffraction pattern of Tm2Ge4Ir3 for a wavelength of 1.5418 Å, from a cell relaxed with GGA-PBE.

Cell and atoms:
```
data_Tm2Ge4Ir3
_symmetry_space_group_name_H-M 'F m m m'
_symmetry_Int_Tables_number 69
_symmetry_space_group_name_Hall '-F 2 2'
_cell_length_a 5.537
_cell_length_b 9.625
_cell_length_c 12.294
_cell_angle_alpha 90.00
_cell_angle_beta 90.00
_cell_angle_gamma 90.00
loop_
_atom_site_label
_atom_site_type_symbol
_atom_site_fract_x
_atom_site_fract_y
_atom_site_fract_z
_atom_site_occupancy
Tm1 Tm 0.000 0.000 0.130 1
Ge1 Ge 0.000 0.166 0.338 1
Ir1 Ir 0.000 0.000 0.500 1
Ir2 Ir 0.250 0.250 0.000 1
```

Peak list (10 most intense, 2θ = 5–70°, sorted by position)
2θ 14.4, 6.147 Å, I 86, hkl 0 0 2; 2θ 28.6, 3.117 Å, I 35, hkl 1 1 3; 2θ 37.4, 2.406 Å, I 28, hkl 0 4 0; 2θ 37.5, 2.400 Å, I 58, hkl 2 2 0; 2θ 39.2, 2.298 Å, I 100, hkl 1 3 3; 2θ 40.3, 2.237 Å, I 94, hkl 0 4 2; 2θ 41.3, 2.188 Å, I 31, hkl 1 1 5; 2θ 44.0, 2.057 Å, I 32, hkl 2 0 4; 2θ 44.2, 2.049 Å, I 27, hkl 0 0 6; 2θ 67.5, 1.388 Å, I 26, hkl 2 6 0

***

Theoretical powder X-ray diffraction pattern of Tm2Ge2Ir3 for a wavelength of 1.5418 Å, from a cell relaxed with GGA-PBE.

Cell and atoms:
```
data_Tm2Ge2Ir3
_symmetry_space_group_name_H-M 'P 1 2/m 1'
_symmetry_Int_Tables_number 10
_symmetry_space_group_name_Hall '-P 2y'
_cell_length_a 4.378
_cell_length_b 3.277
_cell_length_c 9.447
_cell_angle_alpha 90.00
_cell_angle_beta 103.21
_cell_angle_gamma 90.00
loop_
_atom_site_label
_atom_site_type_symbol
_atom_site_fract_x
_atom_site_fract_y
_atom_site_fract_z
_atom_site_occupancy
Tm1 Tm 0.085 0.000 0.167 1
Ge1 Ge 0.354 0.500 0.711 1
Ir1 Ir 0.208 0.500 0.414 1
Ir2 Ir 0.500 0.500 0.000 1
```

Peak list (10 most intense, 2θ = 5–70°, sorted by position)
2θ 25.0, 3.563 Å, I 54, hkl 1 0 1; 2θ 28.9, 3.087 Å, I 41, hkl 0 1 1; 2θ 33.6, 2.669 Å, I 39, hkl 0 1 2; 2θ 34.5, 2.597 Å, I 100, hkl 1 1 -1; 2θ 37.3, 2.412 Å, I 39, hkl 1 1 -2; 2θ 40.0, 2.256 Å, I 74, hkl 1 0 3; 2θ 40.1, 2.250 Å, I 73, hkl 1 0 -4; 2θ 40.3, 2.239 Å, I 62, hkl 0 1 3; 2θ 41.2, 2.189 Å, I 77, hkl 2 0 -1; 2θ 42.3, 2.136 Å, I 64, hkl 1 1 -3

***

Theoretical powder X-ray diffraction pattern of Tm4Ge8Ir for a wavelength of 1.5418 Å, from a cell relaxed with GGA-PBE.

Cell and atoms:
```
data_Tm4Ge8Ir
_symmetry_space_group_name_H-M 'P m m 2'
_symmetry_Int_Tables_number 25
_symmetry_space_group_name_Hall 'P 2 -2'
_cell_length_a 4.007
_cell_length_b 4.099
_cell_length_c 16.044
_cell_angle_alpha 90.00
_cell_angle_beta 90.00
_cell_angle_gamma 90.00
loop_
_atom_site_label
_atom_site_type_symbol
_atom_site_fract_x
_atom_site_fract_y
_atom_site_fract_z
_atom_site_occupancy
Tm1 Tm 0.000 0.000 0.000 1
Tm2 Tm 0.000 0.500 0.486 1
Tm3 Tm 0.500 0.000 0.788 1
Tm4 Tm 0.500 0.500 0.284 1
Ge1 Ge 0.000 0.000 0.328 1
Ge2 Ge 0.000 0.000 0.619 1
Ge3 Ge 0.000 0.500 0.140 1
Ge4 Ge 0.000 0.500 0.858 1
Ge5 Ge 0.500 0.000 0.144 1
Ge6 Ge 0.500 0.000 0.435 1
Ge7 Ge 0.500 0.500 0.618 1
Ge8 Ge 0.500 0.500 0.960 1
Ir1 Ir 0.000 0.500 0.707 1
```

Peak list (10 most intense, 2θ = 5–70°, sorted by position)
2θ 5.5, 16.044 Å, I 20, hkl 0 0 1; 2θ 24.8, 3.585 Å, I 9, hkl 1 0 2; 2θ 31.7, 2.821 Å, I 13, hkl 1 1 1; 2θ 35.5, 2.526 Å, I 100, hkl 1 1 3; 2θ 40.6, 2.224 Å, I 15, hkl 1 0 6; 2θ 44.2, 2.050 Å, I 18, hkl 0 2 0; 2θ 45.3, 2.003 Å, I 18, hkl 2 0 0; 2θ 58.8, 1.570 Å, I 10, hkl 2 1 5; 2θ 61.5, 1.507 Å, I 10, hkl 1 2 6; 2θ 65.1, 1.433 Å, I 12, hkl 2 2 0

***

Theoretical powder X-ray diffraction pattern of U2Ge2Ir3 for a wavelength of 1.5418 Å, from a cell relaxed with GGA-PBE.

Cell and atoms:
```
data_U2Ge2Ir3
_symmetry_space_group_name_H-M 'P 1 2/m 1'
_symmetry_Int_Tables_number 10
_symmetry_space_group_name_Hall '-P 2y'
_cell_length_a 5.477
_cell_length_b 3.072
_cell_length_c 8.329
_cell_angle_alpha 90.00
_cell_angle_beta 101.73
_cell_angle_gamma 90.00
loop_
_atom_site_label
_atom_site_type_symbol
_atom_site_fract_x
_atom_site_fract_y
_atom_site_fract_z
_atom_site_occupancy
U1 U 0.082 0.000 0.234 1
Ge1 Ge 0.416 0.500 0.702 1
Ir1 Ir 0.000 0.500 0.500 1
Ir2 Ir 0.262 0.500 0.997 1
```

Peak list (10 most intense, 2θ = 5–70°, sorted by position)
2θ 10.8, 8.155 Å, I 35, hkl 0 0 1; 2θ 16.5, 5.363 Å, I 70, hkl 1 0 0; 2θ 33.8, 2.652 Å, I 28, hkl 1 0 -3; 2θ 34.3, 2.613 Å, I 37, hkl 1 1 -1; 2θ 36.6, 2.453 Å, I 91, hkl 0 1 2; 2θ 37.4, 2.406 Å, I 63, hkl 2 0 1; 2θ 38.4, 2.342 Å, I 41, hkl 1 1 -2; 2θ 42.3, 2.137 Å, I 75, hkl 2 0 -3; 2θ 44.5, 2.036 Å, I 100, hkl 0 0 4; 2θ 68.1, 1.376 Å, I 22, hkl 2 1 -5

***

What did the fourth record say?
Theoretical powder X-ray diffraction pattern of U2Ge2Ir3 for a wavelength of 1.5418 Å, from a cell relaxed with GGA-PBE.

Cell and atoms:
```
data_U2Ge2Ir3
_symmetry_space_group_name_H-M 'P 1 2/m 1'
_symmetry_Int_Tables_number 10
_symmetry_space_group_name_Hall '-P 2y'
_cell_length_a 5.477
_cell_length_b 3.072
_cell_length_c 8.329
_cell_angle_alpha 90.00
_cell_angle_beta 101.73
_cell_angle_gamma 90.00
loop_
_atom_site_label
_atom_site_type_symbol
_atom_site_fract_x
_atom_site_fract_y
_atom_site_fract_z
_atom_site_occupancy
U1 U 0.082 0.000 0.234 1
Ge1 Ge 0.416 0.500 0.702 1
Ir1 Ir 0.000 0.500 0.500 1
Ir2 Ir 0.262 0.500 0.997 1
```

Peak list (10 most intense, 2θ = 5–70°, sorted by position)
2θ 10.8, 8.155 Å, I 35, hkl 0 0 1; 2θ 16.5, 5.363 Å, I 70, hkl 1 0 0; 2θ 33.8, 2.652 Å, I 28, hkl 1 0 -3; 2θ 34.3, 2.613 Å, I 37, hkl 1 1 -1; 2θ 36.6, 2.453 Å, I 91, hkl 0 1 2; 2θ 37.4, 2.406 Å, I 63, hkl 2 0 1; 2θ 38.4, 2.342 Å, I 41, hkl 1 1 -2; 2θ 42.3, 2.137 Å, I 75, hkl 2 0 -3; 2θ 44.5, 2.036 Å, I 100, hkl 0 0 4; 2θ 68.1, 1.376 Å, I 22, hkl 2 1 -5